Li5CdSn2: simulated powder diffraction line list (λ = 1.5418 Å (Cu Kα)), based on DFT lattice parameters and positions (PBE).
No peak broadening, texture or thermal motion is included.

Atomic structure:
```
data_Li5CdSn2
_chemical_formula_sum 'Li20 Cd4 Sn8'
_symmetry_space_group_name_H-M 'F m m 2'
_symmetry_Int_Tables_number 42
_symmetry_space_group_name_Hall 'F 2 -2'
_cell_length_a 9.2588
_cell_length_b 9.2857
_cell_length_c 6.9392
_cell_angle_alpha 90.00
_cell_angle_beta 90.00
_cell_angle_gamma 90.00
loop_
_atom_site_label
_atom_site_type_symbol
_atom_site_fract_x
_atom_site_fract_y
_atom_site_fract_z
_atom_site_occupancy
Li1 Li 0.0000 0.0000 0.0000 1
Li2 Li 0.0000 0.2505 0.2489 1
Li3 Li 0.2494 0.0000 0.7488 1
Cd1 Cd 0.0000 0.0000 0.4977 1
Sn1 Sn 0.2500 0.2500 0.4989 1
```

The 10 most intense peaks (2θ = 10–80°), by intensity:
h k l  two_theta  Rel. int.
2 2 2  37.8  100
2 2 0  27.2  94
0 0 2  25.7  54
1 1 1  18.6  49
2 0 0  19.1  27
3 1 1  33.2  23
0 4 0  38.8  23
4 0 0  38.9  23
0 4 2  47.1  21
4 0 2  47.2  21



Li4Cd2Sn5: simulated powder diffraction line list (λ = 1.5418 Å (Cu Kα)), based on DFT lattice parameters and positions (PBE).
No peak broadening, texture or thermal motion is included.

Atomic structure:
```
data_Li4Cd2Sn5
_chemical_formula_sum 'Li4 Cd2 Sn5'
_symmetry_space_group_name_H-M 'P 1 2/m 1'
_symmetry_Int_Tables_number 10
_symmetry_space_group_name_Hall '-P 2y'
_cell_length_a 8.8491
_cell_length_b 3.2039
_cell_length_c 9.5956
_cell_angle_alpha 90.00
_cell_angle_beta 117.00
_cell_angle_gamma 90.00
loop_
_atom_site_label
_atom_site_type_symbol
_atom_site_fract_x
_atom_site_fract_y
_atom_site_fract_z
_atom_site_occupancy
Li1 Li 0.0173 0.0000 0.2757 1
Li2 Li 0.4677 0.0000 0.7921 1
Cd1 Cd 0.3074 0.5000 0.9421 1
Sn1 Sn 0.0000 0.5000 0.0000 1
Sn2 Sn 0.1932 0.5000 0.5753 1
Sn3 Sn 0.3419 0.5000 0.3299 1
```

The 10 most intense peaks (2θ = 10–80°), by intensity:
h k l  two_theta  Rel. int.
0 1 0  27.9  100
3 0 -3  34.3  38
2 1 -2  36.2  35
3 1 -3  44.8  34
1 0 -3  28.0  29
3 0 -1  30.7  26
1 1 -3  39.9  25
2 0 -2  22.7  24
3 1 -1  41.9  24
0 0 2  20.8  22



Li2Cd9Sn: simulated powder diffraction line list (λ = 1.5418 Å (Cu Kα)), based on DFT lattice parameters and positions (PBE).
No peak broadening, texture or thermal motion is included.

Atomic structure:
```
data_Li2Cd9Sn
_chemical_formula_sum 'Li2 Cd9 Sn1'
_symmetry_space_group_name_H-M 'P 4/m m m'
_symmetry_Int_Tables_number 123
_symmetry_space_group_name_Hall '-P 4 2'
_cell_length_a 4.3788
_cell_length_b 4.3788
_cell_length_c 13.7111
_cell_angle_alpha 90.00
_cell_angle_beta 90.00
_cell_angle_gamma 90.00
loop_
_atom_site_label
_atom_site_type_symbol
_atom_site_fract_x
_atom_site_fract_y
_atom_site_fract_z
_atom_site_occupancy
Li1 Li 0.0000 0.0000 0.1570 1
Cd1 Cd 0.0000 0.5000 0.0000 1
Cd2 Cd 0.0000 0.5000 0.3166 1
Cd3 Cd 0.5000 0.5000 0.1599 1
Cd4 Cd 0.5000 0.5000 0.5000 1
Sn1 Sn 0.0000 0.0000 0.5000 1
```

The 10 most intense peaks (2θ = 10–80°), by intensity:
h k l  two_theta  Rel. int.
1 1 3  35.0  100
2 0 0  41.2  33
3 1 3  71.1  24
2 0 6  58.4  19
0 0 6  39.4  16
2 2 0  59.7  11
2 2 6  74.0  9
1 1 9  68.7  9
1 0 0  20.3  7
1 0 3  28.2  6



Li3Cd2Sn3: simulated powder diffraction line list (λ = 1.5418 Å (Cu Kα)), based on DFT lattice parameters and positions (PBE).
No peak broadening, texture or thermal motion is included.

Atomic structure:
```
data_Li3Cd2Sn3
_chemical_formula_sum 'Li3 Cd2 Sn3'
_symmetry_space_group_name_H-M 'P -1'
_symmetry_Int_Tables_number 2
_symmetry_space_group_name_Hall '-P 1'
_cell_length_a 4.4390
_cell_length_b 4.4513
_cell_length_c 9.2213
_cell_angle_alpha 102.68
_cell_angle_beta 102.79
_cell_angle_gamma 90.66
loop_
_atom_site_label
_atom_site_type_symbol
_atom_site_fract_x
_atom_site_fract_y
_atom_site_fract_z
_atom_site_occupancy
Li1 Li 0.0000 0.0000 0.0000 1
Li2 Li 0.1223 0.6167 0.2432 1
Cd1 Cd 0.2439 0.2509 0.4936 1
Sn1 Sn 0.3727 0.8795 0.7468 1
Sn2 Sn 0.5000 0.5000 0.0000 1
```

The 10 most intense peaks (2θ = 10–80°), by intensity:
h k l  two_theta  Rel. int.
-1 1 2  35.0  100
1 1 1  34.8  51
1 1 -3  35.8  47
1 0 -1  20.7  40
1 0 0  20.6  38
0 2 -1  40.5  33
2 0 -1  40.7  33
0 0 4  41.2  32
0 1 -2  25.4  30
0 0 1  10.1  29